Record 1
Structure and theoretical X-ray powder pattern of La2Ti3O9 (DFT lattice parameters and positions (GGA-PBE); Cu Kα, 1.54184 Å).
Neutral-atom scattering factors, no anomalous dispersion.

Structure:
```
data_La2Ti3O9
_chemical_formula_sum 'La8 Ti12 O36'
_space_group_name_H-M_alt 'I 2 3'
_space_group_IT_number 197
_space_group_name_Hall 'I 2 2 3'
_cell_length_a 9.149
_cell_length_b 9.149
_cell_length_c 9.149
_cell_angle_alpha 90.00
_cell_angle_beta 90.00
_cell_angle_gamma 90.00
loop_
_atom_site_label
_atom_site_fract_x
_atom_site_fract_y
_atom_site_fract_z
_atom_site_occupancy
La1 0.200 0.200 0.200 1
Ti1 0.000 0.345 0.500 1
O1 0.000 0.000 0.358 1
O2 0.027 0.322 0.713 1
```

Peak list (6 most intense, 2θ from 15° to 90°, in order of rising 2θ)
2theta  d (Å)  Rel. int.  (hkl)
23.82  3.735  92  2 1 1
27.58  3.235  48  2 2 0
36.76  2.445  37  3 2 1
41.89  2.156  100  4 1 1
58.86  1.569  35  5 0 3
62.59  1.484  41  5 3 2

Record 2
Structure and theoretical X-ray powder pattern of PrSeIO4 (DFT lattice parameters and positions (GGA-PBE); Cu Kα, 1.54184 Å).
Neutral-atom scattering factors, no anomalous dispersion.

Structure:
```
data_PrSeIO4
_chemical_formula_sum 'Pr4 Se4 I4 O16'
_space_group_name_H-M_alt 'C 1 2/m 1'
_space_group_IT_number 12
_space_group_name_Hall '-C 2y'
_cell_length_a 10.904
_cell_length_b 7.347
_cell_length_c 7.091
_cell_angle_alpha 90.00
_cell_angle_beta 103.53
_cell_angle_gamma 90.00
loop_
_atom_site_label
_atom_site_fract_x
_atom_site_fract_y
_atom_site_fract_z
_atom_site_occupancy
Pr1 0.245 0.000 0.148 1
Se1 0.134 0.500 0.259 1
I1 0.025 0.000 0.753 1
O1 0.021 0.500 0.775 1
O2 0.185 0.325 0.139 1
O3 0.204 0.500 0.493 1
```

Peak list (6 most intense, 2θ from 15° to 90°, in order of rising 2θ)
2theta  d (Å)  Rel. int.  (hkl)
24.23  3.673  100  0 2 0
25.85  3.447  41  0 0 2
28.02  3.184  38  3 1 0
28.28  3.155  50  3 1 -1
34.05  2.633  52  3 1 -2
35.72  2.514  32  0 2 2